This entry pairs a crystal structure of NdP4N7 with its computed PXRD pattern. Radiation: a wavelength of 1.5418 Å. Structure: DFT lattice parameters and positions (PBE).
No peak broadening, texture or thermal motion is included.

Top 12 peaks for 2θ = 15–90°, in order of rising 2θ:
20.49°, rel. 32, (1 0 1); 27.32°, rel. 24, (0 1 1); 28.30°, rel. 14, (4 0 0); 28.73°, rel. 88, (3 0 1); 30.85°, rel. 100, (2 1 1); 39.02°, rel. 44, (0 2 0); 40.77°, rel. 36, (5 0 1); 44.46°, rel. 23, (1 1 2); 49.17°, rel. 31, (3 2 1); 51.74°, rel. 17, (6 1 1); 57.71°, rel. 26, (5 2 1); 65.65°, rel. 22, (2 1 3)

Cell and atoms:
```
NdP4N7
1.0
12.6077 0.0000 0.0000
0.0000 4.6130 0.0000
0.0000 0.0000 4.6201
Nd P N
2 8 14
Direct
0.0000 0.2410 0.0000 Nd
0.5000 0.7590 0.5000 Nd
0.1123 0.7055 0.5113 P
0.2454 0.7828 0.0315 P
0.2546 0.2172 0.5315 P
0.3877 0.2945 0.0113 P
0.6123 0.2945 0.0113 P
0.7454 0.2172 0.5315 P
0.7546 0.7828 0.0315 P
0.8877 0.7055 0.5113 P
0.0000 0.7980 0.6602 N
0.1168 0.8112 0.1770 N
0.1245 0.3547 0.5523 N
0.2146 0.8796 0.6792 N
0.2854 0.1204 0.1792 N
0.3755 0.6453 0.0523 N
0.3832 0.1888 0.6770 N
0.5000 0.2020 0.1602 N
0.6168 0.1888 0.6770 N
0.6245 0.6453 0.0523 N
0.7146 0.1204 0.1792 N
0.7854 0.8796 0.6792 N
0.8755 0.3547 0.5523 N
0.8832 0.8112 0.1770 N
```